Structure and theoretical XRD peak list of BaThB2O6 (a structure optimized by DFT (GGA-PBE); a wavelength of 1.5418 Å).

Structure:
a = 6.6097 Å, b = 6.6097 Å, c = 7.0416 Å
α = 103.13°, β = 103.13°, γ = 99.50°
Fractional coordinates of all 20 atoms:
Ba 0.1387 0.8613 0.7500
Ba 0.8613 0.1387 0.2500
Th 0.4015 0.5985 0.2500
Th 0.5985 0.4015 0.7500
B 0.1394 0.3750 0.7346
B 0.3750 0.1394 0.2346
B 0.6250 0.8606 0.7654
B 0.8606 0.6250 0.2654
O 0.0674 0.6019 0.3053
O 0.2075 0.2192 0.6152
O 0.2192 0.2075 0.1152
O 0.3002 0.5268 0.8923
O 0.3981 0.9326 0.1947
O 0.4732 0.6998 0.6077
O 0.5268 0.3002 0.3923
O 0.6019 0.0674 0.8053
O 0.6998 0.4732 0.1077
O 0.7808 0.7925 0.8848
O 0.7925 0.7808 0.3848
O 0.9326 0.3981 0.6947

Largest 8 diffraction maxima, low angle first, 2θ = 10–90°:
| two_theta | I (rel.) |
| --- | --- |
| 14.1 | 39 |
| 22.2 | 100 |
| 22.2 | 53 |
| 27.1 | 55 |
| 28.0 | 97 |
| 34.9 | 40 |
| 43.3 | 32 |
| 46.2 | 37 |